Entry 1:
Starting from the PBE geometry in Alexandria, the X-ray diffraction stick pattern of Cr7Br6 was simulated for Cu Ka.
No peak broadening, texture or thermal motion is included.

Top 8 peaks for 10 to 90 degrees two-theta, low angle first:
Position (°2θ)	I (rel.)	hkl
27.19	72	1 0 7
28.57	100	1 1 0
33.26	35	0 2 1
34.22	34	1 1 6
39.85	91	0 2 7
48.31	36	2 0 11
49.76	38	2 1 7
59.14	42	2 2 0

Atomic structure:
```
data_Cr7Br6
_chemical_formula_sum 'Cr21 Br18'
_space_group_name_H-M_alt 'R -3 m'
_space_group_IT_number 166
_space_group_name_Hall '-R 3 2"'
_cell_length_a 6.2489
_cell_length_b 6.2489
_cell_length_c 28.8652
_cell_angle_alpha 90.00
_cell_angle_beta 90.00
_cell_angle_gamma 120.00
loop_
_atom_site_label
_atom_site_fract_x
_atom_site_fract_y
_atom_site_fract_z
Cr1 0.0000 0.0000 0.0000
Cr2 0.0240 0.5120 0.5897
Br1 0.0000 0.0000 0.1457
Br2 0.0000 0.0000 0.3111
Br3 0.0000 0.0000 0.4289
```

---

Entry 2:
Starting from the PBE geometry in Alexandria, the X-ray diffraction stick pattern of Sc2NbRh2 was simulated for Cu Ka.
No peak broadening, texture or thermal motion is included.

Top 8 peaks for 10 to 90 degrees two-theta, low angle first:
Position (°2θ)	I (rel.)	hkl
25.87	27	2 1 0
34.36	21	1 1 1
36.91	80	3 1 0
38.24	31	2 0 1
40.06	100	2 1 1
58.34	17	4 1 1
73.48	21	5 2 1
74.82	19	3 1 2

Atomic structure:
```
data_Sc2NbRh2
_chemical_formula_sum 'Sc4 Nb2 Rh4'
_space_group_name_H-M_alt 'P 4/m b m'
_space_group_IT_number 127
_space_group_name_Hall '-P 4 2ab'
_cell_length_a 7.701
_cell_length_b 7.701
_cell_length_c 2.974
_cell_angle_alpha 90.00
_cell_angle_beta 90.00
_cell_angle_gamma 90.00
loop_
_atom_site_label
_atom_site_fract_x
_atom_site_fract_y
_atom_site_fract_z
Sc1 0.141 0.359 0.000
Nb1 0.000 0.000 0.000
Rh1 0.160 0.660 0.500
```

---

Entry 3:
Starting from the PBE geometry in Alexandria, the X-ray diffraction stick pattern of K5Hg was simulated for Cu Ka.
No peak broadening, texture or thermal motion is included.

Top 8 peaks for 10 to 90 degrees two-theta, low angle first:
Position (°2θ)	I (rel.)	hkl
10.46	94	0 0 2
13.71	100	1 1 0
17.28	62	1 1 2
25.17	98	1 1 4
28.78	89	2 0 4
30.97	79	3 1 0
32.77	44	3 1 2
47.39	42	3 3 4

Atomic structure:
```
data_K5Hg
_chemical_formula_sum 'K20 Hg4'
_space_group_name_H-M_alt 'I 4/m c m'
_space_group_IT_number 140
_space_group_name_Hall '-I 4 2c'
_cell_length_a 9.132
_cell_length_b 9.132
_cell_length_c 16.915
_cell_angle_alpha 90.00
_cell_angle_beta 90.00
_cell_angle_gamma 90.00
loop_
_atom_site_label
_atom_site_fract_x
_atom_site_fract_y
_atom_site_fract_z
K1 0.000 0.000 0.000
K2 0.167 0.333 0.148
Hg1 0.000 0.000 0.250
```

---

Which formula does entry 1 have? Cr7Br6

---

What is the formula in the second record? Sc2NbRh2